# 1
Structure and simulated X-ray powder pattern of Tb2Tm3PuSe6 (the PBE geometry in Alexandria; Cu Kα (λ = 1.5418 Å)).

Lattice parameters (Å, degrees): 17.7462 4.0354 8.1749 90.00 103.71 90.00
Space group C2/m (No. 12)
Unique sites:
Tb (0.1640, 0.0000, 0.3292) (multiplicity 4)
Tm (0.0000, 0.5000, 0.5000) (multiplicity 2)
Tm (0.1654, 0.0000, 0.8355) (multiplicity 4)
Pu (0.0000, 0.5000, 0.0000) (multiplicity 2)
Se (0.0020, 0.0000, 0.7435) (multiplicity 4)
Se (0.1662, 0.5000, 0.5878) (multiplicity 4)
Se (0.1699, 0.5000, 0.0805) (multiplicity 4)

Largest 10 diffraction maxima, by angle, 2θ = 5–70°:
2θ 26.7, d 3.342, I 6.9, hkl 4 0 -2; 2θ 26.9, d 3.320, I 6.7, hkl 2 0 2; 2θ 27.0, d 3.303, I 13.2, hkl 3 1 0; 2θ 31.1, d 2.872, I 100.0, hkl 1 1 -2; 2θ 44.3, d 2.044, I 12.6, hkl 2 0 -4; 2θ 44.5, d 2.036, I 24.8, hkl 7 1 -2; 2θ 44.7, d 2.026, I 24.6, hkl 5 1 2; 2θ 44.9, d 2.018, I 12.2, hkl 0 2 0; 2θ 55.7, d 1.651, I 12.9, hkl 6 2 0; 2θ 64.9, d 1.436, I 8.1, hkl 2 2 -4

# 2
Structure and simulated X-ray powder pattern of CsFeP2 (the PBE geometry in Alexandria; Cu Kα (λ = 1.5418 Å)).

Lattice parameters (Å, degrees): 6.0874 6.0874 11.4919 90.00 90.00 90.00
Space group I4_1/amd (No. 141, origin choice 2)
Unique sites:
Cs (0.0000, 0.2500, 0.3750) (multiplicity 4)
Fe (0.0000, 0.2500, 0.8750) (multiplicity 4)
P (0.0000, 0.0000, 0.0000) (multiplicity 8)

Largest 10 diffraction maxima, by angle, 2θ = 5–70°:
2θ 25.9, d 3.445, I 100.0, hkl 1 1 2; 2θ 27.5, d 3.242, I 15.6, hkl 1 0 3; 2θ 29.3, d 3.044, I 36.0, hkl 2 0 0; 2θ 33.8, d 2.649, I 17.7, hkl 2 1 1; 2θ 42.0, d 2.151, I 10.9, hkl 2 2 0; 2θ 43.3, d 2.089, I 24.1, hkl 2 0 4; 2θ 50.0, d 1.825, I 31.4, hkl 3 1 2; 2θ 52.3, d 1.750, I 13.7, hkl 1 1 6; 2θ 53.2, d 1.723, I 22.4, hkl 2 2 4; 2θ 69.2, d 1.358, I 11.6, hkl 3 1 6